No. 1
Starting from a crystal structure in Alexandria, relaxed with PBE, the powder diffractogram of Sm2AgPbO5 was calculated for Cu Kα (λ = 1.5418 Å).

Atomic structure:
Lattice parameters (Å, degrees): 6.740 6.740 6.404 90.00 90.00 90.00
Space group P4/mbm (No. 127)
Asymmetric unit:
1 Sm 0.174 0.326 0.000 x4
2 Ag 0.000 0.000 0.500 x2
3 Pb 0.000 0.500 0.500 x2
4 O 0.000 0.000 0.000 x2
5 O 0.143 0.643 0.228 x8

Principal peaks in the range 10 to 90 degrees two-theta, sorted by position:
2θ 18.62, I = 18, hkl 1 1 0; 2θ 27.86, I = 43, hkl 0 0 2; 2θ 29.64, I = 12, hkl 2 1 0; 2θ 29.96, I = 100, hkl 2 0 1; 2θ 32.84, I = 30, hkl 2 1 1; 2θ 37.75, I = 23, hkl 2 2 0; 2θ 41.13, I = 26, hkl 2 1 2; 2θ 44.81, I = 19, hkl 3 1 1; 2θ 47.56, I = 23, hkl 2 2 2; 2θ 50.62, I = 23, hkl 2 0 3; 2θ 56.47, I = 12, hkl 4 0 1; 2θ 61.51, I = 15, hkl 4 2 0

***

No. 2
Starting from a crystal structure in Alexandria, relaxed with PBE, the powder diffractogram of PmBiF6 was calculated for Cu Kα (λ = 1.5418 Å).

Atomic structure:
Lattice parameters (Å, degrees): 5.895 5.897 6.460 62.90 62.89 60.05
Space group P-1 (No. 2)
Asymmetric unit:
1 Pm 0.000 0.000 0.000 x1
2 Bi 0.500 0.500 0.500 x1
3 F 0.142 0.750 0.751 x2
4 F 0.250 0.643 0.249 x2
5 F 0.357 0.142 0.751 x2

Principal peaks in the range 10 to 90 degrees two-theta, sorted by position:
2θ 20.46, I = 100, hkl 1 1 0; 2θ 27.82, I = 36, hkl 1 1 2; 2θ 30.31, I = 24, hkl 2 1 1; 2θ 36.85, I = 14, hkl 2 2 2; 2θ 41.61, I = 19, hkl 2 2 0; 2θ 45.11, I = 30, hkl 1 2 3; 2θ 47.60, I = 9, hkl 1 0 3; 2θ 48.43, I = 19, hkl 3 2 1; 2θ 52.34, I = 15, hkl 3 1 0; 2θ 53.85, I = 10, hkl 3 3 2; 2θ 57.48, I = 7, hkl 2 2 4; 2θ 67.04, I = 9, hkl 4 1 1

***

No. 3
Starting from a crystal structure in Alexandria, relaxed with PBE, the powder diffractogram of LiTm2S3 was calculated for Cu Kα (λ = 1.5418 Å).

Atomic structure:
Lattice parameters (Å, degrees): 3.812 5.405 11.469 90.00 90.00 90.00
Space group Immm (No. 71)
Asymmetric unit:
1 Li 0.000 0.000 0.000 x2
2 Tm 0.000 0.000 0.335 x4
3 S 0.000 0.500 0.000 x2
4 S 0.000 0.500 0.336 x4

Principal peaks in the range 10 to 90 degrees two-theta, sorted by position:
2θ 15.45, I = 25, hkl 0 0 2; 2θ 18.14, I = 41, hkl 0 1 1; 2θ 24.61, I = 20, hkl 1 0 1; 2θ 28.63, I = 57, hkl 1 1 0; 2θ 32.72, I = 18, hkl 1 1 2; 2θ 33.18, I = 100, hkl 1 0 3; 2θ 42.86, I = 14, hkl 1 1 4; 2θ 47.61, I = 59, hkl 1 2 3; 2θ 56.48, I = 19, hkl 1 3 0; 2θ 59.21, I = 12, hkl 0 2 6; 2θ 79.28, I = 17, hkl 1 4 3; 2θ 88.65, I = 12, hkl 0 4 6

***

No. 4
Starting from a crystal structure in Alexandria, relaxed with PBE, the powder diffractogram of Pu3Ni6Sb5 was calculated for Cu Kα (λ = 1.5418 Å).

Atomic structure:
Lattice parameters (Å, degrees): 4.267 12.785 9.784 90.00 90.00 90.00
Space group Pmmn (No. 59, origin choice 2)
Asymmetric unit:
1 Pu 0.250 0.074 0.249 x4
2 Pu 0.250 0.750 0.259 x2
3 Ni 0.250 0.074 0.885 x4
4 Ni 0.250 0.250 0.482 x2
5 Ni 0.250 0.250 0.997 x2
6 Ni 0.250 0.597 0.509 x4
7 Sb 0.250 0.083 0.628 x4
8 Sb 0.250 0.617 0.986 x4
9 Sb 0.250 0.750 0.672 x2

Principal peaks in the range 10 to 90 degrees two-theta, sorted by position:
2θ 22.75, I = 21, hkl 0 3 1; 2θ 29.63, I = 29, hkl 1 3 0; 2θ 34.63, I = 66, hkl 1 0 3; 2θ 34.96, I = 100, hkl 1 3 2; 2θ 42.39, I = 51, hkl 2 0 0; 2θ 51.38, I = 27, hkl 0 3 5; 2θ 55.85, I = 31, hkl 1 6 3; 2θ 61.51, I = 15, hkl 2 6 0; 2θ 65.02, I = 12, hkl 1 3 6; 2θ 68.73, I = 22, hkl 2 3 5; 2θ 72.73, I = 18, hkl 3 3 2; 2θ 87.79, I = 9, hkl 3 6 3

***

No. 5
Starting from a crystal structure in Alexandria, relaxed with PBE, the powder diffractogram of LiAlZn was calculated for Cu Kα (λ = 1.5418 Å).

Atomic structure:
Lattice parameters (Å, degrees): 2.692 5.179 14.528 90.00 90.00 90.00
Space group Immm (No. 71)
Asymmetric unit:
1 Li 0.000 0.000 0.145 x4
2 Al 0.000 0.000 0.338 x4
3 Zn 0.000 0.253 0.500 x4

Principal peaks in the range 10 to 90 degrees two-theta, sorted by position:
2θ 12.18, I = 100, hkl 0 0 2; 2θ 24.51, I = 16, hkl 0 0 4; 2θ 33.87, I = 37, hkl 1 0 1; 2θ 36.85, I = 31, hkl 0 2 2; 2θ 37.13, I = 22, hkl 0 0 6; 2θ 38.25, I = 9, hkl 1 0 3; 2θ 42.89, I = 24, hkl 0 2 4; 2θ 45.96, I = 15, hkl 1 0 5; 2θ 49.23, I = 13, hkl 1 2 1; 2θ 52.55, I = 26, hkl 1 2 3; 2θ 55.94, I = 9, hkl 1 0 7; 2θ 78.31, I = 8, hkl 1 2 9